Starting from a PBE-relaxed structure, the X-ray powder pattern of Cs4PdF5 was simulated for Cu Kα, 1.54184 Å.
Kinematic intensities with the Lorentz-polarization factor, no thermal factor.

Top 6 peaks for 10° ≤ 2θ ≤ 90°, in order of rising 2θ:
2θ/deg, d [Å], I (rel.)
26.30, 3.389, 100
28.84, 3.096, 37
31.23, 2.864, 57
43.03, 2.102, 45
52.65, 1.738, 33
68.98, 1.361, 26

Crystal structure
Unit cell a=7.113 b=7.113 c=7.113 alpha=100.92 beta=100.92 gamma=128.40
Fractional coordinates of all 10 atoms:
Cs1 0.098 0.292 0.391
Cs2 0.292 0.902 0.194
Cs3 0.708 0.098 0.806
Cs4 0.902 0.708 0.609
Pd1 0.499 0.499 0.000
F1 0.251 0.581 0.834
F2 0.417 0.251 0.670
F3 0.581 0.747 0.330
F4 0.747 0.417 0.166
F5 0.996 0.996 0.000

Starting from a PBE-relaxed structure, the X-ray powder pattern of CsRbPdF6 was simulated for Cu Kα, 1.54184 Å.
Kinematic intensities with the Lorentz-polarization factor, no thermal factor.

Top 6 peaks for 10° ≤ 2θ ≤ 90°, in order of rising 2θ:
2θ/deg, d [Å], I (rel.)
24.08, 3.696, 100
28.92, 3.087, 58
37.98, 2.369, 61
39.04, 2.307, 25
48.43, 1.880, 25
58.18, 1.586, 20

Crystal structure
Unit cell a=6.174 b=6.174 c=5.115 alpha=90.00 beta=90.00 gamma=120.00
Fractional coordinates of all 9 atoms:
Cs1 0.000 0.000 0.000
Rb1 0.667 0.333 0.435
Pd1 0.333 0.667 0.692
F1 0.027 0.513 0.903
F2 0.181 0.362 0.480
F3 0.181 0.819 0.480
F4 0.487 0.513 0.903
F5 0.487 0.973 0.903
F6 0.638 0.819 0.480

Starting from a PBE-relaxed structure, the X-ray powder pattern of Cs2RbPdF6 was simulated for Cu Kα, 1.54184 Å.
Kinematic intensities with the Lorentz-polarization factor, no thermal factor.

Top 6 peaks for 10° ≤ 2θ ≤ 90°, in order of rising 2θ:
2θ/deg, d [Å], I (rel.)
26.34, 3.384, 100
26.98, 3.305, 48
38.53, 2.337, 32
46.08, 1.970, 21
47.27, 1.923, 38
54.21, 1.692, 22

Crystal structure
Unit cell a=6.776 b=6.776 c=6.776 alpha=121.63 beta=121.63 gamma=87.20
Fractional coordinates of all 10 atoms:
Cs1 0.250 0.750 0.500
Cs2 0.750 0.250 0.500
Rb1 0.000 0.000 0.000
Pd1 0.500 0.500 0.000
F1 0.273 0.273 0.000
F2 0.286 0.286 0.572
F3 0.286 0.714 0.000
F4 0.714 0.286 0.000
F5 0.714 0.714 0.428
F6 0.727 0.727 0.000

Starting from a PBE-relaxed structure, the X-ray powder pattern of CsRb4Pd3F12 was simulated for Cu Kα, 1.54184 Å.
Kinematic intensities with the Lorentz-polarization factor, no thermal factor.

Top 6 peaks for 10° ≤ 2θ ≤ 90°, in order of rising 2θ:
2θ/deg, d [Å], I (rel.)
26.30, 3.389, 100
37.54, 2.396, 18
46.41, 1.956, 50
61.16, 1.515, 21
74.01, 1.281, 21
86.08, 1.130, 12

Crystal structure
Unit cell a=8.300 b=8.300 c=8.300 alpha=109.47 beta=109.47 gamma=109.47
Fractional coordinates of all 20 atoms:
Cs1 0.000 0.000 0.000
Rb1 0.000 0.000 0.500
Rb2 0.000 0.500 0.000
Rb3 0.500 0.000 0.000
Rb4 0.500 0.500 0.500
Pd1 0.000 0.500 0.500
Pd2 0.500 0.000 0.500
Pd3 0.500 0.500 0.000
F1 0.140 0.487 0.347
F2 0.140 0.793 0.653
F3 0.207 0.347 0.860
F4 0.347 0.140 0.487
F5 0.347 0.860 0.207
F6 0.487 0.347 0.140
F7 0.513 0.653 0.860
F8 0.653 0.140 0.793
F9 0.653 0.860 0.513
F10 0.793 0.653 0.140
F11 0.860 0.207 0.347
F12 0.860 0.513 0.653

Starting from a PBE-relaxed structure, the X-ray powder pattern of Cs2SrPdF6 was simulated for Cu Kα, 1.54184 Å.
Kinematic intensities with the Lorentz-polarization factor, no thermal factor.

Top 6 peaks for 10° ≤ 2θ ≤ 90°, in order of rising 2θ:
2θ/deg, d [Å], I (rel.)
14.08, 6.288, 41
21.04, 4.223, 49
27.10, 3.290, 100
32.53, 2.753, 55
34.56, 2.595, 46
42.83, 2.111, 43

Crystal structure
Unit cell a=6.580 b=6.580 c=6.288 alpha=90.00 beta=90.00 gamma=120.00
Fractional coordinates of all 10 atoms:
Cs1 0.333 0.667 0.366
Cs2 0.667 0.333 0.634
Sr1 0.000 0.000 0.000
Pd1 0.000 0.000 0.500
F1 0.151 0.301 0.724
F2 0.151 0.849 0.724
F3 0.301 0.151 0.276
F4 0.699 0.849 0.724
F5 0.849 0.151 0.276
F6 0.849 0.699 0.276

Starting from a PBE-relaxed structure, the X-ray powder pattern of CsTiPdF6 was simulated for Cu Kα, 1.54184 Å.
Kinematic intensities with the Lorentz-polarization factor, no thermal factor.

Top 6 peaks for 10° ≤ 2θ ≤ 90°, in order of rising 2θ:
2θ/deg, d [Å], I (rel.)
16.08, 5.511, 42
22.85, 3.891, 100
24.02, 3.706, 89
28.48, 3.134, 60
46.57, 1.950, 30
49.11, 1.855, 29

Crystal structure
Unit cell a=6.306 b=6.306 c=5.524 alpha=95.23 beta=95.23 gamma=56.43
Fractional coordinates of all 9 atoms:
Cs1 0.000 0.000 0.000
Ti1 0.652 0.652 0.430
Pd1 0.375 0.375 0.449
F1 0.321 0.760 0.540
F2 0.507 0.983 0.313
F3 0.561 0.561 0.122
F4 0.751 0.751 0.719
F5 0.760 0.321 0.540
F6 0.983 0.507 0.313

Starting from a PBE-relaxed structure, the X-ray powder pattern of CsYPdF6 was simulated for Cu Kα, 1.54184 Å.
Kinematic intensities with the Lorentz-polarization factor, no thermal factor.

Top 6 peaks for 10° ≤ 2θ ≤ 90°, in order of rising 2θ:
2θ/deg, d [Å], I (rel.)
25.48, 3.496, 100
25.73, 3.462, 66
26.19, 3.403, 76
27.46, 3.248, 64
40.30, 2.238, 32
44.84, 2.021, 59

Crystal structure
Unit cell a=8.090 b=8.090 c=8.090 alpha=121.58 beta=118.31 gamma=90.12
Fractional coordinates of all 18 atoms:
Cs1 0.340 0.090 0.250
Cs2 0.660 0.910 0.750
Y1 0.000 0.500 0.500
Y2 0.500 0.500 0.000
Pd1 0.000 0.000 0.500
Pd2 0.000 0.500 0.000
F1 0.069 0.418 0.242
F2 0.069 0.826 0.651
F3 0.080 0.830 0.250
F4 0.317 0.567 0.750
F5 0.325 0.174 0.742
F6 0.325 0.582 0.151
F7 0.675 0.418 0.849
F8 0.675 0.826 0.258
F9 0.683 0.433 0.250
F10 0.920 0.170 0.750
F11 0.931 0.174 0.349
F12 0.931 0.582 0.758

Starting from a PBE-relaxed structure, the X-ray powder pattern of CsZn2PdF8 was simulated for Cu Kα, 1.54184 Å.
Kinematic intensities with the Lorentz-polarization factor, no thermal factor.

Top 6 peaks for 10° ≤ 2θ ≤ 90°, in order of rising 2θ:
2θ/deg, d [Å], I (rel.)
22.31, 3.985, 100
30.60, 2.922, 38
32.88, 2.724, 19
45.53, 1.992, 17
49.71, 1.834, 22
52.79, 1.734, 19

Crystal structure
Unit cell a=9.255 b=9.255 c=9.255 alpha=36.81 beta=36.81 gamma=36.81
Fractional coordinates of all 12 atoms:
Cs1 0.000 0.000 0.000
Zn1 0.245 0.245 0.245
Zn2 0.755 0.755 0.755
Pd1 0.500 0.500 0.500
F1 0.134 0.610 0.610
F2 0.316 0.316 0.316
F3 0.390 0.390 0.866
F4 0.390 0.866 0.390
F5 0.610 0.134 0.610
F6 0.610 0.610 0.134
F7 0.684 0.684 0.684
F8 0.866 0.390 0.390

Starting from a PBE-relaxed structure, the X-ray powder pattern of CsPm4F12 was simulated for Cu Kα, 1.54184 Å.
Kinematic intensities with the Lorentz-polarization factor, no thermal factor.

Top 6 peaks for 10° ≤ 2θ ≤ 90°, in order of rising 2θ:
2θ/deg, d [Å], I (rel.)
19.30, 4.599, 85
27.43, 3.252, 100
39.18, 2.299, 43
44.03, 2.057, 39
48.49, 1.877, 44
56.61, 1.626, 27

Crystal structure
Unit cell a=7.965 b=7.965 c=7.965 alpha=109.48 beta=109.48 gamma=109.46
Fractional coordinates of all 17 atoms:
Cs1 0.000 0.000 0.000
Pm1 0.000 0.000 0.500
Pm2 0.000 0.500 0.000
Pm3 0.500 0.000 0.000
Pm4 0.500 0.500 0.500
F1 0.001 0.760 0.241
F2 0.240 0.240 0.480
F3 0.240 0.480 0.241
F4 0.240 0.760 0.000
F5 0.240 0.999 0.759
F6 0.480 0.240 0.241
F7 0.520 0.760 0.759
F8 0.760 0.001 0.241
F9 0.760 0.240 0.000
F10 0.760 0.520 0.759
F11 0.760 0.760 0.520
F12 0.999 0.240 0.759

Starting from a PBE-relaxed structure, the X-ray powder pattern of CsPm2F6 was simulated for Cu Kα, 1.54184 Å.
Kinematic intensities with the Lorentz-polarization factor, no thermal factor.

Top 6 peaks for 10° ≤ 2θ ≤ 90°, in order of rising 2θ:
2θ/deg, d [Å], I (rel.)
22.60, 3.934, 100
26.55, 3.358, 55
35.14, 2.554, 28
43.28, 2.090, 48
44.57, 2.033, 31
46.86, 1.939, 24

Crystal structure
Unit cell a=6.716 b=6.716 c=5.342 alpha=90.00 beta=90.00 gamma=120.00
Fractional coordinates of all 9 atoms:
Cs1 0.000 0.000 0.000
Pm1 0.333 0.667 0.500
Pm2 0.667 0.333 0.500
F1 0.000 0.365 0.675
F2 0.000 0.635 0.325
F3 0.365 0.000 0.675
F4 0.365 0.365 0.325
F5 0.635 0.000 0.325
F6 0.635 0.635 0.675

Starting from a PBE-relaxed structure, the X-ray powder pattern of Cs3PtF7 was simulated for Cu Kα, 1.54184 Å.
Kinematic intensities with the Lorentz-polarization factor, no thermal factor.

Top 6 peaks for 10° ≤ 2θ ≤ 90°, in order of rising 2θ:
2θ/deg, d [Å], I (rel.)
24.84, 3.584, 100
27.90, 3.198, 26
29.18, 3.060, 36
36.44, 2.466, 19
40.81, 2.211, 28
47.54, 1.913, 17

Crystal structure
Unit cell a=8.655 b=8.655 c=6.397 alpha=90.00 beta=90.00 gamma=90.00
Fractional coordinates of all 22 atoms:
Cs1 0.000 0.000 0.000
Cs2 0.191 0.309 0.500
Cs3 0.309 0.809 0.500
Cs4 0.500 0.500 0.000
Cs5 0.691 0.191 0.500
Cs6 0.809 0.691 0.500
Pt1 0.000 0.500 0.000
Pt2 0.500 0.000 0.000
F1 0.000 0.000 0.500
F2 0.112 0.612 0.223
F3 0.112 0.612 0.777
F4 0.162 0.338 0.000
F5 0.338 0.838 0.000
F6 0.388 0.112 0.223
F7 0.388 0.112 0.777
F8 0.500 0.500 0.500
F9 0.612 0.888 0.223
F10 0.612 0.888 0.777
F11 0.662 0.162 0.000
F12 0.838 0.662 0.000
F13 0.888 0.388 0.223
F14 0.888 0.388 0.777

Starting from a PBE-relaxed structure, the X-ray powder pattern of Cs2PuF7 was simulated for Cu Kα, 1.54184 Å.
Kinematic intensities with the Lorentz-polarization factor, no thermal factor.

Top 6 peaks for 10° ≤ 2θ ≤ 90°, in order of rising 2θ:
2θ/deg, d [Å], I (rel.)
15.54, 5.701, 52
25.52, 3.491, 100
30.02, 2.977, 24
36.40, 2.468, 32
44.98, 2.016, 41
71.50, 1.319, 24

Crystal structure
Unit cell a=6.982 b=6.982 c=6.982 alpha=60.00 beta=60.00 gamma=60.00
Fractional coordinates of all 10 atoms:
Cs1 0.250 0.250 0.250
Cs2 0.750 0.750 0.750
Pu1 0.000 0.000 0.000
F1 0.212 0.212 0.788
F2 0.212 0.788 0.212
F3 0.212 0.788 0.788
F4 0.500 0.500 0.500
F5 0.788 0.212 0.212
F6 0.788 0.212 0.788
F7 0.788 0.788 0.212